Theoretical powder XRD pattern of Cu4B for Cu Kα X-rays, from a structure optimized by DFT (PBE).
Neutral-atom scattering factors, no anomalous dispersion.

Cell and atoms:
```
Cu4B
1.0
3.5998 0.0000 0.0000
0.0000 3.5998 0.0000
0.0000 0.0000 8.6494
Cu B
8 2
direct
0.2500 0.2500 0.0039
0.2500 0.7500 0.2150
0.2500 0.7500 0.5000
0.2500 0.7500 0.7850
0.7500 0.2500 0.2150
0.7500 0.2500 0.5000
0.7500 0.2500 0.7850
0.7500 0.7500 0.9961
0.2500 0.2500 0.3508
0.7500 0.7500 0.6492
```

Largest 10 diffraction maxima, in order of rising 2θ, 2θ from 15° to 90°:
2.545 Å, 2θ = 35.3°, intensity 39; 2.442 Å, 2θ = 36.8°, intensity 44; 2.194 Å, 2θ = 41.1°, intensity 45; 2.162 Å, 2θ = 41.8°, intensity 34; 1.908 Å, 2θ = 47.7°, intensity 100; 1.800 Å, 2θ = 50.7°, intensity 63; 1.383 Å, 2θ = 67.7°, intensity 29; 1.273 Å, 2θ = 74.6°, intensity 18; 1.112 Å, 2θ = 87.8°, intensity 21; 1.097 Å, 2θ = 89.3°, intensity 13